# 1
For Er6TlZn, a PBE-relaxed structure gives the calculated PXRD pattern in this record (copper Kα).

Structural model:
```
Er6TlZn
1.0
-2.4995 2.4995 8.9257
2.4995 -2.4995 8.9257
2.4995 2.4995 -8.9257
Er Tl Zn
6 1 1
direct
0.1118 0.6118 0.5000
0.2491 0.2491 0.0000
0.3882 0.8882 0.5000
0.6118 0.1118 0.5000
0.7509 0.7509 0.0000
0.8882 0.3882 0.5000
0.5000 0.5000 0.0000
0.0000 0.0000 0.0000
```

Top 6 peaks for 2θ from 5° to 70°, by angle:
Position (°2θ)	Rel. int.
32.31	100
35.93	40
40.42	11
51.72	14
55.18	18
62.31	31

# 2
For Rb2YBr6F, a PBE-relaxed structure gives the calculated PXRD pattern in this record (copper Kα).

Structural model:
```
Rb2YBr6F
1.0
-4.2829 4.2829 5.0039
4.2829 -4.2829 5.0039
4.2829 4.2829 -5.0039
Rb Y Br F
2 1 6 1
direct
0.2500 0.7500 0.5000
0.7500 0.2500 0.5000
0.0000 0.0000 0.0000
0.2276 0.2276 0.4553
0.2276 0.7724 0.0000
0.2884 0.2884 0.0000
0.7116 0.7116 0.0000
0.7724 0.2276 0.0000
0.7724 0.7724 0.5447
0.5000 0.5000 0.0000
```

Top 6 peaks for 2θ from 5° to 70°, by angle:
Position (°2θ)	Rel. int.
27.41	100
29.49	85
35.89	22
42.20	29
47.12	37
51.06	29

# 3
For Mg5Pd2, a PBE-relaxed structure gives the calculated PXRD pattern in this record (copper Kα).

Structural model:
```
Mg5Pd2
1.0
8.8285 0.0000 0.0000
-4.4142 7.6457 0.0000
0.0000 0.0000 8.0300
Mg Pd
20 8
direct
0.0000 0.0000 0.0000
0.0000 0.0000 0.5000
0.0796 0.5398 0.2500
0.1913 0.3826 0.5647
0.1913 0.3826 0.9353
0.1913 0.8087 0.5647
0.1913 0.8087 0.9353
0.3826 0.1913 0.0647
0.3826 0.1913 0.4353
0.4602 0.5398 0.2500
0.4602 0.9204 0.2500
0.5398 0.0796 0.7500
0.5398 0.4602 0.7500
0.6174 0.8087 0.5647
0.6174 0.8087 0.9353
0.8087 0.1913 0.0647
0.8087 0.1913 0.4353
0.8087 0.6174 0.0647
0.8087 0.6174 0.4353
0.9204 0.4602 0.7500
0.1256 0.2512 0.2500
0.1256 0.8744 0.2500
0.2512 0.1256 0.7500
0.3333 0.6667 0.7500
0.6667 0.3333 0.2500
0.7488 0.8744 0.2500
0.8744 0.1256 0.7500
0.8744 0.7488 0.7500
```

Top 6 peaks for 2θ from 5° to 70°, by angle:
Position (°2θ)	Rel. int.
11.57	43
22.14	51
25.81	100
37.01	71
38.38	67
41.17	74

# 4
For BC3, a PBE-relaxed structure gives the calculated PXRD pattern in this record (copper Kα).

Structural model:
```
BC3
1.0
1.7883 -5.7983 0.0000
1.7883 5.7983 0.0000
0.0000 0.0000 3.5775
B C
3 9
direct
0.0000 0.0000 0.0000
0.0000 0.5000 0.2476
0.5000 0.0000 0.7524
0.1560 0.8440 0.5000
0.1738 0.3408 0.7426
0.3408 0.1738 0.2574
0.3447 0.6553 0.0000
0.5000 0.5000 0.5000
0.6553 0.3447 0.0000
0.6592 0.8262 0.2574
0.8262 0.6592 0.7426
0.8440 0.1560 0.5000
```

Top 6 peaks for 2θ from 5° to 70°, by angle:
Position (°2θ)	Rel. int.
15.28	5
26.07	1
30.84	3
36.35	1
42.72	100
53.61	1